Diffraction record for LiCo2SnAs. The PXRD pattern is theoretical, not measured: it uses a crystal structure in Alexandria, relaxed with GGA-PBE and a wavelength of 1.5418 Å.
Lines closer than 0.1° are merged.

Cell and atoms:
a b c (Å): 5.442 5.443 6.281
angles (deg): 90.00 115.02 90.00
Atoms (fractional coordinates):
Li  0.000  0.000  0.000
Li  0.500  0.500  0.000
Co  0.422  0.251  0.352
Co  0.422  0.749  0.352
Co  0.922  0.249  0.352
Co  0.922  0.751  0.352
Sn  0.313  0.000  0.640
Sn  0.813  0.500  0.640
As  0.065  0.500  0.135
As  0.565  0.000  0.135

Main lines, by angle (2θ = 10–90°):
- d = 5.691 Å, 2θ 15.6, I = 91, hkl 0 0 1
- d = 3.655 Å, 2θ 24.4, I = 88, hkl 1 1 0
- d = 3.637 Å, 2θ 24.5, I = 93, hkl 1 1 -1
- d = 2.713 Å, 2θ 33.0, I = 45, hkl 1 1 1
- d = 2.691 Å, 2θ 33.3, I = 42, hkl 1 1 -2
- d = 2.455 Å, 2θ 36.6, I = 34, hkl 0 2 1
- d = 1.978 Å, 2θ 45.9, I = 42, hkl 2 0 1
- d = 1.967 Å, 2θ 46.2, I = 100, hkl 0 2 2
- d = 1.955 Å, 2θ 46.5, I = 58, hkl 2 0 -3
- d = 1.924 Å, 2θ 47.2, I = 83, hkl 2 2 -1